Record 1
# ZrUNiO6
Theoretical powder X-ray diffraction pattern, copper Kα. Input: a DFT-relaxed cell (GGA+U, Alexandria).
Lines closer than 0.1° are merged.

Top 10 peaks for 2θ from 10° to 90°, in order of falling intensity:
| 2θ (°) | I_rel | hkl |
| --- | --- | --- |
| 27.09 | 1000 | 1 0 2 |
| 21.60 | 563 | 1 0 1 |
| 34.02 | 541 | 1 1 0 |
| 51.82 | 535 | 1 1 4 |
| 39.09 | 302 | 1 1 2 |
| 18.68 | 288 | 0 0 2 |
| 44.01 | 269 | 2 0 2 |
| 56.77 | 252 | 3 -1 2 |
| 60.88 | 194 | 3 0 0 |
| 34.47 | 181 | 1 0 3 |

Cell and atoms:
Cell lengths 5.2712, 5.2712, 9.5008 Å; angles 90.00, 90.00, 120.00 degrees
Space group P-31c (No. 163)
Asymmetric unit:
Zr: 0.0000 0.0000 0.0000 (multiplicity 2)
U: 0.3333 0.6667 0.2500 (multiplicity 2)
Ni: 0.3333 0.6667 0.7500 (multiplicity 2)
O: 0.0009 0.3322 0.1301 (multiplicity 12)


Record 2
# V8Ni2O15
Theoretical powder X-ray diffraction pattern, copper Kα. Input: a DFT-relaxed cell (GGA+U, Alexandria).
Lines closer than 0.1° are merged.

Top 10 peaks for 2θ from 10° to 90°, in order of falling intensity:
| 2θ (°) | I_rel | hkl |
| --- | --- | --- |
| 32.60 | 1000 | 2 0 6 |
| 35.35 | 534 | 1 1 -7 |
| 53.10 | 507 | 3 1 9 |
| 23.80 | 325 | 1 1 3 |
| 35.22 | 280 | 0 2 0 |
| 48.72 | 267 | 2 2 6 |
| 53.29 | 265 | 5 1 -5 |
| 63.28 | 260 | 1 3 -7 |
| 61.71 | 223 | 1 1 13 |
| 23.93 | 179 | 2 0 -4 |

Cell and atoms:
Cell lengths 9.8081, 5.0967, 21.0490 Å; angles 90.00, 94.29, 90.00 degrees
Space group C2/c (No. 15)
Asymmetric unit:
V: 0.0378 0.2391 0.4718 (multiplicity 8)
V: 0.0619 0.2427 0.3303 (multiplicity 8)
V: 0.1396 0.2518 0.7691 (multiplicity 8)
V: 0.2425 0.2475 0.0716 (multiplicity 8)
Ni: 0.1584 0.2578 0.6299 (multiplicity 8)
O: 0.0000 0.4372 0.2500 (multiplicity 4)
O: 0.0273 0.1021 0.6905 (multiplicity 8)
O: 0.0688 0.3889 0.1082 (multiplicity 8)
O: 0.1037 0.0605 0.5478 (multiplicity 8)
O: 0.1278 0.4054 0.9885 (multiplicity 8)
O: 0.1628 0.0928 0.4115 (multiplicity 8)
O: 0.1941 0.4395 0.8484 (multiplicity 8)
O: 0.2344 0.0906 0.2859 (multiplicity 8)


Record 3
# YV2NiO8
Theoretical powder X-ray diffraction pattern, copper Kα. Input: a DFT-relaxed cell (GGA+U, Alexandria).
Lines closer than 0.1° are merged.

Top 10 peaks for 2θ from 10° to 90°, in order of falling intensity:
| 2θ (°) | I_rel | hkl |
| --- | --- | --- |
| 31.05 | 1000 | 1 1 0 |
| 17.78 | 716 | 1 0 0 |
| 23.40 | 609 | 1 0 1 |
| 35.49 | 553 | 0 1 2 |
| 47.86 | 399 | 2 0 2 |
| 44.05 | 288 | 1 1 2 |
| 58.16 | 285 | 1 2 2 |
| 64.74 | 213 | 2 2 0 |
| 15.09 | 188 | 0 0 1 |
| 55.25 | 177 | 3 0 0 |

Cell and atoms:
Cell lengths 5.7596, 5.7596, 5.8701 Å; angles 90.00, 90.00, 120.00 degrees
Space group P-3m1 (No. 164)
Asymmetric unit:
Y: 0.0000 0.0000 0.0000 (multiplicity 1)
V: 0.3333 0.6667 0.6403 (multiplicity 2)
Ni: 0.0000 0.0000 0.5000 (multiplicity 1)
O: 0.1615 0.3231 0.7270 (multiplicity 6)
O: 0.3333 0.6667 0.3597 (multiplicity 2)


Record 4
# YNiW2O8
Theoretical powder X-ray diffraction pattern, copper Kα. Input: a DFT-relaxed cell (GGA+U, Alexandria).
Lines closer than 0.1° are merged.

Top 10 peaks for 2θ from 10° to 90°, in order of falling intensity:
| 2θ (°) | I_rel | hkl |
| --- | --- | --- |
| 28.61 | 1000 | 1 1 1 |
| 29.48 | 887 | 1 1 -3 |
| 23.05 | 560 | 0 1 2 |
| 34.61 | 393 | 1 2 -1 |
| 17.65 | 375 | 0 0 2 |
| 50.03 | 373 | 2 0 2 |
| 22.88 | 297 | 1 1 -1 |
| 35.28 | 285 | 2 0 -2 |
| 48.85 | 284 | 0 3 2 |
| 51.15 | 240 | 1 2 -5 |

Cell and atoms:
Cell lengths 5.0922, 6.0227, 11.0917 Å; angles 90.00, 115.03, 90.00 degrees
Space group P2/c (No. 13)
Asymmetric unit:
Y: 0.0000 0.1630 0.2500 (multiplicity 2)
Ni: 0.5000 0.2060 0.7500 (multiplicity 2)
W: 0.2378 0.3332 0.9898 (multiplicity 4)
O: 0.1628 0.4080 0.6082 (multiplicity 4)
O: 0.2213 0.1366 0.1124 (multiplicity 4)
O: 0.2686 0.1426 0.8660 (multiplicity 4)
O: 0.3388 0.3882 0.4026 (multiplicity 4)


Record 5
# YNi2O4
Theoretical powder X-ray diffraction pattern, copper Kα. Input: a DFT-relaxed cell (GGA+U, Alexandria).
Lines closer than 0.1° are merged.

Top 10 peaks for 2θ from 10° to 90°, in order of falling intensity:
| 2θ (°) | I_rel | hkl |
| --- | --- | --- |
| 37.04 | 1000 | 1 2 1 |
| 32.25 | 434 | 1 0 3 |
| 37.14 | 355 | 2 0 2 |
| 29.23 | 334 | 1 1 2 |
| 60.61 | 286 | 2 2 4 |
| 50.31 | 224 | 1 0 5 |
| 60.27 | 180 | 2 3 1 |
| 55.22 | 179 | 3 1 2 |
| 57.07 | 172 | 3 0 3 |
| 78.89 | 102 | 4 2 2 |

Cell and atoms:
Cell lengths 5.6095, 5.6095, 9.5832 Å; angles 90.00, 90.00, 90.00 degrees
Space group I4_1/a (No. 88, origin choice 2)
Asymmetric unit:
Y: 0.0000 0.2500 0.1250 (multiplicity 4)
Ni: 0.0000 0.0000 0.5000 (multiplicity 8)
O: 0.1447 0.4616 0.3237 (multiplicity 16)


Record 6
# ZnNi2O5
Theoretical powder X-ray diffraction pattern, copper Kα. Input: a DFT-relaxed cell (GGA+U, Alexandria).
Lines closer than 0.1° are merged.

Top 10 peaks for 2θ from 10° to 90°, in order of falling intensity:
| 2θ (°) | I_rel | hkl |
| --- | --- | --- |
| 16.68 | 1000 | 0 1 0 |
| 33.86 | 304 | 0 2 -2 |
| 34.41 | 285 | 1 0 -3 |
| 26.92 | 274 | 0 1 2 |
| 24.58 | 256 | 1 -1 0 |
| 47.19 | 236 | 2 -1 0 |
| 42.32 | 163 | 0 2 -4 |
| 20.61 | 134 | 0 1 1 |
| 42.62 | 119 | 0 1 4 |
| 50.39 | 117 | 2 0 0 |

Cell and atoms:
Cell lengths 3.8522, 5.8154, 10.6461 Å; angles 103.61, 90.00, 109.20 degrees
Space group P-1 (No. 2)
Asymmetric unit:
Zn: 0.1050 0.2079 0.2177 (multiplicity 2)
Ni: 0.2484 0.4970 0.5983 (multiplicity 2)
Ni: 0.2566 0.5136 0.9049 (multiplicity 2)
O: 0.0826 0.1645 0.6461 (multiplicity 2)
O: 0.0848 0.1704 0.7731 (multiplicity 2)
O: 0.2042 0.4076 0.0671 (multiplicity 2)
O: 0.2186 0.4364 0.4098 (multiplicity 2)
O: 0.3549 0.7113 0.7772 (multiplicity 2)


Record 7
# Zn2NiO
Theoretical powder X-ray diffraction pattern, copper Kα. Input: a DFT-relaxed cell (GGA+U, Alexandria).
Lines closer than 0.1° are merged.

Top 10 peaks for 2θ from 10° to 90°, in order of falling intensity:
| 2θ (°) | I_rel | hkl |
| --- | --- | --- |
| 36.78 | 1000 | 1 1 2 |
| 37.39 | 450 | 2 1 1 |
| 43.68 | 438 | 2 2 0 |
| 58.39 | 325 | 3 1 2 |
| 70.00 | 228 | 2 0 4 |
| 48.99 | 169 | 3 0 1 |
| 75.05 | 109 | 3 2 3 |
| 84.11 | 102 | 4 3 1 |
| 63.48 | 96 | 4 0 0 |
| 47.69 | 69 | 1 0 3 |

Cell and atoms:
Cell lengths 5.8617, 5.8617, 6.0500 Å; angles 90.00, 90.00, 90.00 degrees
Space group I-42d (No. 122)
Asymmetric unit:
Zn: 0.1927 0.2500 0.1250 (multiplicity 8)
Ni: 0.0000 0.0000 0.5000 (multiplicity 4)
O: 0.0000 0.0000 0.0000 (multiplicity 4)


Record 8
# ZnNi9O10
Theoretical powder X-ray diffraction pattern, copper Kα. Input: a DFT-relaxed cell (GGA+U, Alexandria).
Lines closer than 0.1° are merged.

Top 5 peaks for 2θ from 10° to 90°, in order of falling intensity:
| 2θ (°) | I_rel | hkl |
| --- | --- | --- |
| 42.69 | 1000 | 2 2 0 |
| 36.75 | 758 | 2 0 1 |
| 61.96 | 580 | 3 2 3 |
| 74.25 | 292 | 4 2 1 |
| 78.16 | 181 | 4 0 2 |

Cell and atoms:
Cell lengths 5.1884, 5.9899, 6.6987 Å; angles 77.09, 75.03, 73.22 degrees
Space group P-1 (No. 2)
Asymmetric unit:
Zn: 0.0000 0.0000 0.0000 (multiplicity 1)
Ni: 0.0000 0.5000 0.0000 (multiplicity 1)
Ni: 0.2005 0.3003 0.5995 (multiplicity 2)
Ni: 0.2004 0.7996 0.5999 (multiplicity 2)
Ni: 0.3995 0.5998 0.2004 (multiplicity 2)
Ni: 0.3996 0.1003 0.2005 (multiplicity 2)
O: 0.0993 0.4002 0.2998 (multiplicity 2)
O: 0.1004 0.8992 0.3033 (multiplicity 2)
O: 0.3029 0.6972 0.8989 (multiplicity 2)
O: 0.3037 0.2018 0.8989 (multiplicity 2)
O: 0.5000 0.0000 0.5000 (multiplicity 1)
O: 0.5000 0.5000 0.5000 (multiplicity 1)